Theoretical powder diffraction line list
Compound: K3Mn3MoO8
Radiation: a wavelength of 1.5418 Å
Structure: a cell relaxed with GGA+U

Crystal structure
Unit cell a=11.598 b=5.995 c=7.141 alpha=90.00 beta=120.13 gamma=90.00
Space group C2/m (No. 12)
Unique sites:
K 0.000 0.000 0.000 [2 per cell]
K 0.250 0.250 0.000 [4 per cell]
Mn 0.000 0.500 0.500 [2 per cell]
Mn 0.250 0.250 0.500 [4 per cell]
Mo 0.000 0.000 0.500 [2 per cell]
O 0.010 0.257 0.320 [8 per cell]
O 0.213 0.000 0.656 [4 per cell]
O 0.237 0.500 0.669 [4 per cell]

Top 12 peaks for 10 to 90 degrees two-theta, by angle:
(0 0 1), 14.3 deg, intensity 100
(2 0 -1), 16.2 deg, intensity 13
(1 1 0), 17.2 deg, intensity 21
(0 0 2), 28.9 deg, intensity 41
(4 0 -2), 32.8 deg, intensity 22
(2 2 0), 34.9 deg, intensity 33
(4 0 0), 35.8 deg, intensity 58
(2 2 -2), 39.4 deg, intensity 80
(4 0 -4), 51.6 deg, intensity 12
(2 2 2), 51.8 deg, intensity 27
(6 2 -2), 56.7 deg, intensity 26
(2 2 -4), 61.6 deg, intensity 14